For AsPbF7, a GGA-PBE-relaxed structure gives the simulated X-ray diffraction stick pattern in this record (Cu Kα X-rays).
Neutral-atom scattering factors, no anomalous dispersion.

Top 10 peaks for 15 to 90 degrees two-theta, by angle:
index, 2θ (°), intensity
1 -1 0, 22.0, 25
1 1 0, 23.5, 82
0 2 -1, 24.6, 100
-1 1 1, 25.0, 70
1 -1 1, 25.4, 36
1 1 -2, 28.3, 41
0 2 -2, 29.9, 26
0 2 1, 30.9, 29
2 0 -1, 38.0, 24
2 2 -2, 46.7, 27

Atomic structure:
a = 4.772 Å, b = 7.416 Å, c = 7.676 Å
α = 105.67°, β = 101.07°, γ = 90.88°
Space group P-1 (No. 2)
One atom of each set of equivalent atoms:
As 0.148 0.311 0.211 x2
Pb 0.318 0.150 0.695 x2
F 0.006 0.523 0.311 x2
F 0.064 0.705 0.010 x2
F 0.128 0.820 0.739 x2
F 0.222 0.922 0.415 x2
F 0.297 0.098 0.111 x2
F 0.361 0.315 0.431 x2
F 0.423 0.440 0.163 x2

***

For RbAsF6, a GGA-PBE-relaxed structure gives the simulated X-ray diffraction stick pattern in this record (Cu Kα X-rays).
Neutral-atom scattering factors, no anomalous dispersion.

Top 10 peaks for 15 to 90 degrees two-theta, by angle:
index, 2θ (°), intensity
1 1 0, 23.0, 100
0 1 2, 26.6, 67
2 0 2, 35.5, 14
3 -1 1, 37.4, 12
1 2 2, 42.7, 62
2 2 0, 47.0, 11
0 2 4, 54.9, 17
3 -1 4, 60.3, 32
4 1 0, 63.7, 12
2 3 2, 65.4, 11

Atomic structure:
a = 7.7340 Å, b = 7.7340 Å, c = 7.7270 Å
α = 90.00°, β = 90.00°, γ = 120.00°
Space group R-3 (No. 148, hexagonal axes)
One atom of each set of equivalent atoms:
Rb 0.0000 0.0000 0.0000 x3
As 0.0000 0.0000 0.5000 x3
F 0.0779 0.8652 0.6342 x18

***

For As2S2F3, a GGA-PBE-relaxed structure gives the simulated X-ray diffraction stick pattern in this record (Cu Kα X-rays).
Neutral-atom scattering factors, no anomalous dispersion.

Top 10 peaks for 15 to 90 degrees two-theta, by angle:
index, 2θ (°), intensity
0 0 2, 17.8, 38
1 2 1, 19.1, 100
1 4 1, 24.5, 31
1 2 2, 24.6, 10
0 6 0, 26.5, 15
2 0 0, 29.0, 24
2 3 0, 31.9, 15
0 6 2, 32.1, 13
2 6 0, 39.7, 21
1 2 4, 40.1, 11

Atomic structure:
a = 6.158 Å, b = 20.200 Å, c = 9.962 Å
α = 90.00°, β = 90.00°, γ = 90.00°
Space group Pbcm (No. 57)
One atom of each set of equivalent atoms:
As 0.002 0.174 0.123 x8
As 0.055 0.009 0.250 x4
As 0.487 0.664 0.750 x4
S 0.142 0.077 0.077 x8
S 0.309 0.537 0.250 x4
S 0.309 0.637 0.250 x4
F 0.250 0.716 0.750 x4
F 0.279 0.112 0.750 x4
F 0.366 0.614 0.624 x8
F 0.394 0.214 0.624 x8

***

For SbAsF8, a GGA-PBE-relaxed structure gives the simulated X-ray diffraction stick pattern in this record (Cu Kα X-rays).
Neutral-atom scattering factors, no anomalous dispersion.

Top 10 peaks for 15 to 90 degrees two-theta, by angle:
index, 2θ (°), intensity
1 1 0, 18.8, 100
1 0 1, 21.0, 38
0 2 0, 21.3, 87
1 1 -1, 21.9, 58
1 1 1, 23.6, 23
0 0 2, 25.5, 40
1 2 1, 30.1, 19
1 1 -2, 30.7, 30
2 1 1, 36.7, 19
0 4 0, 43.3, 32

Atomic structure:
a = 5.737 Å, b = 8.359 Å, c = 7.009 Å
α = 90.00°, β = 95.36°, γ = 90.00°
Space group P2_1/m (No. 11)
One atom of each set of equivalent atoms:
Sb 0.203 0.250 0.283 x2
As 0.499 0.750 0.202 x2
F 0.018 0.750 0.534 x2
F 0.022 0.750 0.933 x2
F 0.230 0.023 0.286 x4
F 0.298 0.094 0.792 x4
F 0.464 0.250 0.116 x2
F 0.464 0.250 0.499 x2

***

For SbAs3Se4F6, a GGA-PBE-relaxed structure gives the simulated X-ray diffraction stick pattern in this record (Cu Kα X-rays).
Neutral-atom scattering factors, no anomalous dispersion.

Top 10 peaks for 15 to 90 degrees two-theta, by angle:
index, 2θ (°), intensity
0 2 0, 17.8, 85
1 1 -1, 18.1, 100
1 1 1, 18.6, 84
1 2 0, 22.5, 48
1 2 -1, 23.8, 47
1 2 -2, 27.7, 55
0 2 3, 30.7, 86
1 3 -1, 31.2, 47
2 0 -3, 36.7, 43
0 3 5, 50.5, 46

Atomic structure:
a = 6.453 Å, b = 9.980 Å, c = 10.773 Å
α = 90.00°, β = 92.36°, γ = 90.00°
Space group P2_1/m (No. 11)
One atom of each set of equivalent atoms:
Sb 0.001 0.250 0.333 x2
As 0.441 0.750 0.018 x2
As 0.474 0.124 0.655 x4
Se 0.159 0.250 0.726 x2
Se 0.186 0.250 0.943 x2
Se 0.364 0.566 0.153 x4
F 0.139 0.613 0.765 x4
F 0.148 0.115 0.429 x4
F 0.218 0.750 0.551 x2
F 0.223 0.250 0.217 x2

***

Copy entry 4 word for word.
For SbAsF8, a GGA-PBE-relaxed structure gives the simulated X-ray diffraction stick pattern in this record (Cu Kα X-rays).
Neutral-atom scattering factors, no anomalous dispersion.

Top 10 peaks for 15 to 90 degrees two-theta, by angle:
index, 2θ (°), intensity
1 1 0, 18.8, 100
1 0 1, 21.0, 38
0 2 0, 21.3, 87
1 1 -1, 21.9, 58
1 1 1, 23.6, 23
0 0 2, 25.5, 40
1 2 1, 30.1, 19
1 1 -2, 30.7, 30
2 1 1, 36.7, 19
0 4 0, 43.3, 32

Atomic structure:
a = 5.737 Å, b = 8.359 Å, c = 7.009 Å
α = 90.00°, β = 95.36°, γ = 90.00°
Space group P2_1/m (No. 11)
One atom of each set of equivalent atoms:
Sb 0.203 0.250 0.283 x2
As 0.499 0.750 0.202 x2
F 0.018 0.750 0.534 x2
F 0.022 0.750 0.933 x2
F 0.230 0.023 0.286 x4
F 0.298 0.094 0.792 x4
F 0.464 0.250 0.116 x2
F 0.464 0.250 0.499 x2